Structure and calculated powder diffraction line list of Ce2Mo4O15 (a cell relaxed with PBE+U; Cu Ka).
No peak broadening, texture or thermal motion is included.

Structural model:
Unit cell a=7.5269 b=7.6357 c=11.7748 alpha=90.69 beta=96.14 gamma=95.92
Space group P-1 (No. 2)
Unique sites:
Ce  0.1846  0.3998  0.2687 (multiplicity 2)
Ce  0.2574  0.9183  0.7235 (multiplicity 2)
Mo  0.0683  0.7389  0.0214 (multiplicity 2)
Mo  0.2256  0.9225  0.3701 (multiplicity 2)
Mo  0.2745  0.4188  0.6256 (multiplicity 2)
Mo  0.3991  0.1658  0.0272 (multiplicity 2)
O  0.0718  0.0823  0.3165 (multiplicity 2)
O  0.0858  0.7580  0.8693 (multiplicity 2)
O  0.1254  0.5389  0.0915 (multiplicity 2)
O  0.1543  0.2170  0.9473 (multiplicity 2)
O  0.1595  0.5985  0.6781 (multiplicity 2)
O  0.1606  0.7049  0.3119 (multiplicity 2)
O  0.2097  0.3821  0.4763 (multiplicity 2)
O  0.2098  0.9193  0.0860 (multiplicity 2)
O  0.2184  0.9078  0.5207 (multiplicity 2)
O  0.2273  0.2133  0.6967 (multiplicity 2)
O  0.3455  0.2623  0.1740 (multiplicity 2)
O  0.4135  0.9801  0.8962 (multiplicity 2)
O  0.4494  0.9973  0.3440 (multiplicity 2)
O  0.4634  0.6674  0.0228 (multiplicity 2)
O  0.4915  0.5167  0.3505 (multiplicity 2)

Main lines, by intensity (5 to 70 degrees two-theta):
- (0 0 3), 22.79°, I 100
- (2 0 -1), 24.29°, I 76
- (1 -2 0), 25.19°, I 58
- (-1 1 3), 26.96°, I 50
- (2 0 0), 23.91°, I 44
- (1 -1 3), 28.69°, I 43
- (2 0 2), 29.84°, I 42
- (1 2 -1), 28.02°, I 35
- (0 1 3), 25.93°, I 33
- (1 -1 6), 50.55°, I 25